The following is a theoretical powder diffractogram of SiPb. It was derived from a structure optimized by DFT (GGA-PBE), using Cu Kα (λ = 1.5418 Å).
Neutral-atom scattering factors, no anomalous dispersion.

Most intense lines, 2θ from 15° to 90°, sorted by position:
- 4.734 Å, 18.74°, I 66
- 3.160 Å, 28.24°, I 45
- 3.036 Å, 29.42°, I 100
- 2.823 Å, 31.69°, I 69
- 2.628 Å, 34.12°, I 50
- 2.555 Å, 35.12°, I 85

Atomic structure:
abc: 6.3194 6.9223 9.4677
angles: 90.00 90.00 90.00
Space group P2_12_12_1 (No. 19)
Unique sites:
Si (0.1558, 0.1989, 0.2462) [4 per cell]
Si (0.1736, 0.8604, 0.2458) [4 per cell]
Pb (0.0219, 0.6370, 0.5519) [4 per cell]
Pb (0.0337, 0.6392, 0.9504) [4 per cell]